# Hg
Theoretical XRD peak list, a wavelength of 1.5418 Å. Input: DFT lattice parameters and positions (PBE).

Largest 10 diffraction maxima, by angle, 10° ≤ 2θ ≤ 90°:
| 2θ/deg | I_rel | index |
| --- | --- | --- |
| 29.46 | 100.0 | 1 0 0 |
| 30.25 | 93.6 | 0 0 1 |
| 32.05 | 80.8 | 0 1 0 |
| 32.88 | 75.6 | 0 1 1 |
| 42.73 | 74.6 | 1 0 1 |
| 43.89 | 34.6 | 1 1 0 |
| 44.29 | 33.7 | 1 -1 0 |
| 44.56 | 33.2 | 1 1 1 |
| 44.90 | 32.5 | -1 1 1 |
| 70.97 | 34.1 | 2 1 1 |

Cell: 3.0317 3.1193 3.3004 Å, 63.55 89.85 89.49°
Space group P-1 (No. 2)
Unique sites:
Hg 0.0000 0.0000 0.0000 x1